Diffraction record for TbDy14Mg. The X-ray powder pattern is theoretical, not measured: it uses a cell relaxed with PBE and Cu Kα (λ = 1.5418 Å).
Kinematic intensities with the Lorentz-polarization factor, no thermal factor.

Peak list (6 most intense, 5 to 70 degrees two-theta, low angle first)
| 2theta | Rel. int. | hkl |
| --- | --- | --- |
| 15.39 | 2 | 1 1 1 |
| 31.08 | 100 | 2 2 2 |
| 36.04 | 51 | 4 0 0 |
| 51.88 | 36 | 4 4 0 |
| 61.72 | 43 | 6 2 2 |
| 64.79 | 12 | 4 4 4 |

Crystal structure
Lattice parameters (Å, degrees): 9.980 9.964 9.964 90.00 90.00 90.00
Space group Amm2 (No. 38)
Unique sites:
Tb 0.000 0.000 0.000 (multiplicity 2)
Dy 0.000 0.250 0.250 (multiplicity 4)
Dy 0.249 0.000 0.249 (multiplicity 4)
Dy 0.249 0.000 0.751 (multiplicity 4)
Dy 0.249 0.249 0.000 (multiplicity 8)
Dy 0.500 0.000 0.000 (multiplicity 2)
Dy 0.500 0.000 0.500 (multiplicity 2)
Dy 0.500 0.250 0.250 (multiplicity 4)
Mg 0.000 0.000 0.499 (multiplicity 2)

Diffraction record for TbDyMg17. The X-ray powder pattern is theoretical, not measured: it uses a cell relaxed with PBE and Cu Kα (λ = 1.5418 Å).
Kinematic intensities with the Lorentz-polarization factor, no thermal factor.

Peak list (6 most intense, 5 to 70 degrees two-theta, low angle first)
| 2theta | Rel. int. | hkl |
| --- | --- | --- |
| 17.37 | 32 | 1 1 0 |
| 24.74 | 55 | 1 1 3 |
| 30.32 | 34 | 3 0 0 |
| 35.19 | 100 | 2 2 0 |
| 35.80 | 21 | 2 0 5 |
| 63.45 | 19 | 0 3 9 |

Crystal structure
Lattice parameters (Å, degrees): 10.2109 10.2109 15.2182 90.00 90.00 120.00
Space group R3m (No. 160, hexagonal axes)
Unique sites:
Tb 0.0000 0.0000 0.0000 (multiplicity 3)
Dy 0.0000 0.0000 0.3431 (multiplicity 3)
Mg 0.0000 0.0000 0.5720 (multiplicity 3)
Mg 0.0000 0.0000 0.7709 (multiplicity 3)
Mg 0.9998 0.3034 0.6714 (multiplicity 18)
Mg 0.0001 0.5000 0.1714 (multiplicity 9)
Mg 0.0090 0.5045 0.8222 (multiplicity 9)
Mg 0.1712 0.3424 0.8538 (multiplicity 9)

Diffraction record for Tb2DyMg9. The X-ray powder pattern is theoretical, not measured: it uses a cell relaxed with PBE and Cu Kα (λ = 1.5418 Å).
Kinematic intensities with the Lorentz-polarization factor, no thermal factor.

Peak list (6 most intense, 5 to 70 degrees two-theta, low angle first)
| 2theta | Rel. int. | hkl |
| --- | --- | --- |
| 17.23 | 82 | 1 0 1 |
| 27.39 | 88 | 1 0 7 |
| 29.59 | 84 | 1 1 0 |
| 29.90 | 50 | 0 1 8 |
| 34.44 | 43 | 0 2 1 |
| 35.00 | 100 | 1 1 6 |

Crystal structure
Lattice parameters (Å, degrees): 6.0388 6.0388 29.1242 90.00 90.00 120.00
Space group R-3m (No. 166, hexagonal axes)
Unique sites:
Tb 0.0000 0.0000 0.1425 (multiplicity 6)
Dy 0.0000 0.0000 0.0000 (multiplicity 3)
Mg 0.0000 0.0000 0.3341 (multiplicity 6)
Mg 0.0000 0.0000 0.5000 (multiplicity 3)
Mg 0.0048 0.5024 0.9161 (multiplicity 18)

Question: Which formula does entry 3 have?
Answer: Tb2DyMg9

Question: What is the formula in the second record?
Answer: TbDyMg17